Computed PXRD pattern of Pa3Co2Ni9 for copper Kα, from a crystal structure in Alexandria, relaxed with PBE.
Neutral-atom scattering factors, no anomalous dispersion.

```
data_Pa3Co2Ni9
_chemical_formula_sum 'Pa3 Co2 Ni9'
_cell_length_a 7.436
_cell_length_b 7.436
_cell_length_c 7.436
_cell_angle_alpha 148.35
_cell_angle_beta 109.48
_cell_angle_gamma 79.36
_symmetry_space_group_name_H-M 'P 1'
_symmetry_Int_Tables_number 1
_symmetry_space_group_name_Hall 'P 1'
loop_
_atom_site_label
_atom_site_type_symbol
_atom_site_fract_x
_atom_site_fract_y
_atom_site_fract_z
Pa1 Pa 0.000 0.000 0.000
Pa2 Pa 0.318 0.318 0.000
Pa3 Pa 0.682 0.682 0.000
Co1 Co 0.312 0.500 0.812
Co2 Co 0.688 0.500 0.188
Ni1 Ni 0.040 0.682 0.358
Ni2 Ni 0.148 0.887 0.261
Ni3 Ni 0.323 0.682 0.642
Ni4 Ni 0.375 0.113 0.261
Ni5 Ni 0.500 0.000 0.500
Ni6 Ni 0.625 0.887 0.739
Ni7 Ni 0.677 0.318 0.358
Ni8 Ni 0.852 0.113 0.739
Ni9 Ni 0.960 0.318 0.642
```

Largest 8 diffraction maxima, most intense first, 2θ from 5° to 70°:
- 2θ = 38.57°, I = 100
- 2θ = 32.21°, I = 37
- 2θ = 39.36°, I = 34
- 2θ = 24.27°, I = 33
- 2θ = 44.69°, I = 28
- 2θ = 61.05°, I = 20
- 2θ = 25.55°, I = 20
- 2θ = 45.50°, I = 12

=====

Computed PXRD pattern of VZn4Fe for copper Kα, from a crystal structure in Alexandria, relaxed with PBE.
Neutral-atom scattering factors, no anomalous dispersion.

```
data_VZn4Fe
_chemical_formula_sum 'V1 Zn4 Fe1'
_cell_length_a 2.685
_cell_length_b 2.685
_cell_length_c 13.382
_cell_angle_alpha 95.84
_cell_angle_beta 95.84
_cell_angle_gamma 59.81
_symmetry_space_group_name_H-M 'P 1'
_symmetry_Int_Tables_number 1
_symmetry_space_group_name_Hall 'P 1'
loop_
_atom_site_label
_atom_site_type_symbol
_atom_site_fract_x
_atom_site_fract_y
_atom_site_fract_z
V1 V 0.000 0.000 0.000
Zn1 Zn 0.115 0.115 0.342
Zn2 Zn 0.389 0.389 0.169
Zn3 Zn 0.611 0.611 0.831
Zn4 Zn 0.885 0.885 0.658
Fe1 Fe 0.500 0.500 0.500
```

Largest 8 diffraction maxima, most intense first, 2θ from 5° to 70°:
- 2θ = 42.95°, I = 100
- 2θ = 40.74°, I = 51
- 2θ = 45.22°, I = 49
- 2θ = 45.07°, I = 25
- 2θ = 39.88°, I = 20
- 2θ = 39.07°, I = 19
- 2θ = 50.71°, I = 12
- 2θ = 54.01°, I = 10

=====

Computed PXRD pattern of NpBeH6 for copper Kα, from a crystal structure in Alexandria, relaxed with PBE.
Neutral-atom scattering factors, no anomalous dispersion.

```
data_NpBeH6
_chemical_formula_sum 'Np1 Be1 H6'
_cell_length_a 3.880
_cell_length_b 3.880
_cell_length_c 3.894
_cell_angle_alpha 98.11
_cell_angle_beta 98.11
_cell_angle_gamma 98.40
_symmetry_space_group_name_H-M 'P 1'
_symmetry_Int_Tables_number 1
_symmetry_space_group_name_Hall 'P 1'
loop_
_atom_site_label
_atom_site_type_symbol
_atom_site_fract_x
_atom_site_fract_y
_atom_site_fract_z
Np1 Np 0.000 0.000 0.000
Be1 Be 0.500 0.500 0.500
H1 H 0.203 0.203 0.554
H2 H 0.204 0.556 0.204
H3 H 0.444 0.796 0.796
H4 H 0.556 0.204 0.204
H5 H 0.796 0.444 0.796
H6 H 0.797 0.797 0.446
```

Largest 8 diffraction maxima, most intense first, 2θ from 5° to 70°:
- 2θ = 23.50°, I = 100
- 2θ = 30.44°, I = 90
- 2θ = 23.40°, I = 51
- 2θ = 36.14°, I = 38
- 2θ = 50.05°, I = 29
- 2θ = 38.74°, I = 28
- 2θ = 48.05°, I = 26
- 2θ = 57.76°, I = 20

=====

Computed PXRD pattern of GeBiRh for copper Kα, from a crystal structure in Alexandria, relaxed with PBE.
Neutral-atom scattering factors, no anomalous dispersion.

```
data_GeBiRh
_chemical_formula_sum 'Ge2 Bi2 Rh2'
_cell_length_a 3.527
_cell_length_b 3.527
_cell_length_c 11.975
_cell_angle_alpha 90.00
_cell_angle_beta 90.00
_cell_angle_gamma 120.00
_symmetry_space_group_name_H-M 'P 1'
_symmetry_Int_Tables_number 1
_symmetry_space_group_name_Hall 'P 1'
loop_
_atom_site_label
_atom_site_type_symbol
_atom_site_fract_x
_atom_site_fract_y
_atom_site_fract_z
Ge1 Ge 0.000 0.000 0.125
Ge2 Ge 0.000 0.000 0.875
Bi1 Bi 0.667 0.333 0.341
Bi2 Bi 0.667 0.333 0.659
Rh1 Rh 0.333 0.667 0.000
Rh2 Rh 0.333 0.667 0.500
```

Largest 8 diffraction maxima, most intense first, 2θ from 5° to 70°:
- 2θ = 37.06°, I = 100
- 2θ = 32.92°, I = 68
- 2θ = 30.19°, I = 66
- 2θ = 42.27°, I = 60
- 2θ = 51.84°, I = 52
- 2θ = 7.38°, I = 37
- 2θ = 22.27°, I = 24
- 2θ = 29.24°, I = 23

=====

Computed PXRD pattern of LiBiPdRh for copper Kα, from a crystal structure in Alexandria, relaxed with PBE.
Neutral-atom scattering factors, no anomalous dispersion.

```
data_LiBiPdRh
_chemical_formula_sum 'Li1 Bi1 Pd1 Rh1'
_cell_length_a 4.788
_cell_length_b 4.788
_cell_length_c 4.788
_cell_angle_alpha 127.75
_cell_angle_beta 127.75
_cell_angle_gamma 77.03
_symmetry_space_group_name_H-M 'P 1'
_symmetry_Int_Tables_number 1
_symmetry_space_group_name_Hall 'P 1'
loop_
_atom_site_label
_atom_site_type_symbol
_atom_site_fract_x
_atom_site_fract_y
_atom_site_fract_z
Li1 Li 0.000 0.000 0.000
Bi1 Bi 0.500 0.500 0.000
Pd1 Pd 0.750 0.250 0.500
Rh1 Rh 0.250 0.750 0.500
```

Largest 8 diffraction maxima, most intense first, 2θ from 5° to 70°:
- 2θ = 38.59°, I = 100
- 2θ = 24.22°, I = 73
- 2θ = 42.89°, I = 37
- 2θ = 49.87°, I = 22
- 2θ = 66.81°, I = 20
- 2θ = 42.05°, I = 18
- 2θ = 48.61°, I = 13
- 2θ = 62.28°, I = 12

=====

Computed PXRD pattern of Th11In9Tc4 for copper Kα, from a crystal structure in Alexandria, relaxed with PBE.
Neutral-atom scattering factors, no anomalous dispersion.

```
data_Th11In9Tc4
_chemical_formula_sum 'Th11 In9 Tc4'
_cell_length_a 13.262
_cell_length_b 13.262
_cell_length_c 3.921
_cell_angle_alpha 90.00
_cell_angle_beta 90.00
_cell_angle_gamma 112.20
_symmetry_space_group_name_H-M 'P 1'
_symmetry_Int_Tables_number 1
_symmetry_space_group_name_Hall 'P 1'
loop_
_atom_site_label
_atom_site_type_symbol
_atom_site_fract_x
_atom_site_fract_y
_atom_site_fract_z
Th1 Th 0.000 0.000 0.000
Th2 Th 0.081 0.419 0.000
Th3 Th 0.158 0.842 0.000
Th4 Th 0.315 0.315 0.000
Th5 Th 0.376 0.624 0.000
Th6 Th 0.419 0.081 0.000
Th7 Th 0.581 0.919 0.000
Th8 Th 0.624 0.376 0.000
Th9 Th 0.685 0.685 0.000
Th10 Th 0.842 0.158 0.000
Th11 Th 0.919 0.581 0.000
In1 In 0.077 0.219 0.500
In2 In 0.158 0.635 0.500
In3 In 0.219 0.077 0.500
In4 In 0.365 0.842 0.500
In5 In 0.500 0.500 0.500
In6 In 0.635 0.158 0.500
In7 In 0.781 0.923 0.500
In8 In 0.842 0.365 0.500
In9 In 0.923 0.781 0.500
Tc1 Tc 0.246 0.450 0.500
Tc2 Tc 0.450 0.246 0.500
Tc3 Tc 0.550 0.754 0.500
Tc4 Tc 0.754 0.550 0.500
```

Largest 8 diffraction maxima, most intense first, 2θ from 5° to 70°:
- 2θ = 33.45°, I = 100
- 2θ = 33.30°, I = 99
- 2θ = 34.43°, I = 68
- 2θ = 35.66°, I = 41
- 2θ = 46.31°, I = 34
- 2θ = 58.97°, I = 29
- 2θ = 60.91°, I = 26
- 2θ = 37.38°, I = 22

=====

Computed PXRD pattern of Ho5AlHg4 for copper Kα, from a crystal structure in Alexandria, relaxed with PBE.
Neutral-atom scattering factors, no anomalous dispersion.

```
data_Ho5AlHg4
_chemical_formula_sum 'Ho5 Al1 Hg4'
_cell_length_a 3.683
_cell_length_b 3.683
_cell_length_c 18.423
_cell_angle_alpha 90.00
_cell_angle_beta 90.00
_cell_angle_gamma 90.00
_symmetry_space_group_name_H-M 'P 1'
_symmetry_Int_Tables_number 1
_symmetry_space_group_name_Hall 'P 1'
loop_
_atom_site_label
_atom_site_type_symbol
_atom_site_fract_x
_atom_site_fract_y
_atom_site_fract_z
Ho1 Ho 0.000 0.000 0.000
Ho2 Ho 0.000 0.000 0.203
Ho3 Ho 0.000 0.000 0.405
Ho4 Ho 0.000 0.000 0.595
Ho5 Ho 0.000 0.000 0.797
Al1 Al 0.500 0.500 0.500
Hg1 Hg 0.500 0.500 0.102
Hg2 Hg 0.500 0.500 0.305
Hg3 Hg 0.500 0.500 0.695
Hg4 Hg 0.500 0.500 0.898
```

Largest 8 diffraction maxima, most intense first, 2θ from 5° to 70°:
- 2θ = 34.43°, I = 100
- 2θ = 61.68°, I = 37
- 2θ = 49.49°, I = 18
- 2θ = 9.60°, I = 3
- 2θ = 31.09°, I = 2
- 2θ = 24.65°, I = 2
- 2θ = 28.25°, I = 2
- 2θ = 26.05°, I = 2

=====

Computed PXRD pattern of Ce5Si2Cl2 for copper Kα, from a crystal structure in Alexandria, relaxed with PBE.
Neutral-atom scattering factors, no anomalous dispersion.

```
data_Ce5Si2Cl2
_chemical_formula_sum 'Ce10 Si4 Cl4'
_cell_length_a 8.207
_cell_length_b 8.207
_cell_length_c 7.631
_cell_angle_alpha 90.00
_cell_angle_beta 90.00
_cell_angle_gamma 55.44
_symmetry_space_group_name_H-M 'P 1'
_symmetry_Int_Tables_number 1
_symmetry_space_group_name_Hall 'P 1'
loop_
_atom_site_label
_atom_site_type_symbol
_atom_site_fract_x
_atom_site_fract_y
_atom_site_fract_z
Ce1 Ce 0.000 0.000 0.000
Ce2 Ce 0.036 0.689 0.669
Ce3 Ce 0.189 0.536 0.169
Ce4 Ce 0.311 0.964 0.669
Ce5 Ce 0.464 0.811 0.169
Ce6 Ce 0.500 0.500 0.500
Ce7 Ce 0.536 0.189 0.831
Ce8 Ce 0.689 0.036 0.331
Ce9 Ce 0.811 0.464 0.831
Ce10 Ce 0.964 0.311 0.331
Si1 Si 0.121 0.879 0.379
Si2 Si 0.379 0.621 0.879
Si3 Si 0.621 0.379 0.121
Si4 Si 0.879 0.121 0.621
Cl1 Cl 0.197 0.197 0.000
Cl2 Cl 0.303 0.303 0.500
Cl3 Cl 0.697 0.697 0.500
Cl4 Cl 0.803 0.803 0.000
```

Largest 8 diffraction maxima, most intense first, 2θ from 5° to 70°:
- 2θ = 34.07°, I = 100
- 2θ = 37.78°, I = 96
- 2θ = 32.08°, I = 93
- 2θ = 36.10°, I = 73
- 2θ = 26.10°, I = 63
- 2θ = 26.83°, I = 50
- 2θ = 33.20°, I = 38
- 2θ = 54.40°, I = 37

=====

Computed PXRD pattern of CoRh2 for copper Kα, from a crystal structure in Alexandria, relaxed with PBE.
Neutral-atom scattering factors, no anomalous dispersion.

```
data_CoRh2
_chemical_formula_sum 'Co2 Rh4'
_cell_length_a 5.940
_cell_length_b 5.940
_cell_length_c 3.746
_cell_angle_alpha 90.00
_cell_angle_beta 90.00
_cell_angle_gamma 142.85
_symmetry_space_group_name_H-M 'P 1'
_symmetry_Int_Tables_number 1
_symmetry_space_group_name_Hall 'P 1'
loop_
_atom_site_label
_atom_site_type_symbol
_atom_site_fract_x
_atom_site_fract_y
_atom_site_fract_z
Co1 Co 0.170 0.830 0.000
Co2 Co 0.830 0.170 0.000
Rh1 Rh 0.000 0.000 0.500
Rh2 Rh 0.331 0.669 0.500
Rh3 Rh 0.500 0.500 0.000
Rh4 Rh 0.669 0.331 0.500
```

Largest 8 diffraction maxima, most intense first, 2θ from 5° to 70°:
- 2θ = 41.59°, I = 100
- 2θ = 48.08°, I = 16
- 2θ = 48.50°, I = 16
- 2θ = 48.61°, I = 16
- 2θ = 23.75°, I = 3
- 2θ = 33.63°, I = 2
- 2θ = 34.62°, I = 1
- 2θ = 24.82°, I = 1

=====

Computed PXRD pattern of Nd4PuS5 for copper Kα, from a crystal structure in Alexandria, relaxed with PBE.
Neutral-atom scattering factors, no anomalous dispersion.

```
data_Nd4PuS5
_chemical_formula_sum 'Nd4 Pu1 S5'
_cell_length_a 7.011
_cell_length_b 7.011
_cell_length_c 7.011
_cell_angle_alpha 99.60
_cell_angle_beta 99.60
_cell_angle_gamma 131.81
_symmetry_space_group_name_H-M 'P 1'
_symmetry_Int_Tables_number 1
_symmetry_space_group_name_Hall 'P 1'
loop_
_atom_site_label
_atom_site_type_symbol
_atom_site_fract_x
_atom_site_fract_y
_atom_site_fract_z
Nd1 Nd 0.096 0.700 0.797
Nd2 Nd 0.300 0.096 0.396
Nd3 Nd 0.700 0.904 0.604
Nd4 Nd 0.904 0.300 0.203
Pu1 Pu 0.500 0.500 0.000
S1 S 0.000 0.000 0.000
S2 S 0.206 0.401 0.607
S3 S 0.401 0.794 0.196
S4 S 0.599 0.206 0.804
S5 S 0.794 0.599 0.393
```

Largest 8 diffraction maxima, most intense first, 2θ from 5° to 70°:
- 2θ = 31.25°, I = 100
- 2θ = 26.98°, I = 84
- 2θ = 44.78°, I = 73
- 2θ = 53.06°, I = 42
- 2θ = 55.62°, I = 26
- 2θ = 65.19°, I = 12
- 2θ = 18.34°, I = 4
- 2θ = 13.84°, I = 4

=====

Computed PXRD pattern of Ti3GaC for copper Kα, from a crystal structure in Alexandria, relaxed with PBE.
Neutral-atom scattering factors, no anomalous dispersion.

```
data_Ti3GaC
_chemical_formula_sum 'Ti3 Ga1 C1'
_cell_length_a 3.051
_cell_length_b 4.103
_cell_length_c 5.812
_cell_angle_alpha 90.00
_cell_angle_beta 90.00
_cell_angle_gamma 90.00
_symmetry_space_group_name_H-M 'P 1'
_symmetry_Int_Tables_number 1
_symmetry_space_group_name_Hall 'P 1'
loop_
_atom_site_label
_atom_site_type_symbol
_atom_site_fract_x
_atom_site_fract_y
_atom_site_fract_z
Ti1 Ti 0.000 0.000 0.000
Ti2 Ti 0.500 0.500 0.249
Ti3 Ti 0.500 0.500 0.751
Ga1 Ga 0.000 0.000 0.500
C1 C 0.000 0.500 0.000
```

Largest 8 diffraction maxima, most intense first, 2θ from 5° to 70°:
- 2θ = 36.71°, I = 100
- 2θ = 37.94°, I = 91
- 2θ = 42.98°, I = 75
- 2θ = 63.31°, I = 43
- 2θ = 44.14°, I = 35
- 2θ = 60.71°, I = 12
- 2θ = 64.09°, I = 10
- 2θ = 26.59°, I = 8

=====

Computed PXRD pattern of Li2Mg3Ga for copper Kα, from a crystal structure in Alexandria, relaxed with PBE.
Neutral-atom scattering factors, no anomalous dispersion.

```
data_Li2Mg3Ga
_chemical_formula_sum 'Li4 Mg6 Ga2'
_cell_length_a 6.544
_cell_length_b 6.544
_cell_length_c 6.112
_cell_angle_alpha 98.71
_cell_angle_beta 98.71
_cell_angle_gamma 105.47
_symmetry_space_group_name_H-M 'P 1'
_symmetry_Int_Tables_number 1
_symmetry_space_group_name_Hall 'P 1'
loop_
_atom_site_label
_atom_site_type_symbol
_atom_site_fract_x
_atom_site_fract_y
_atom_site_fract_z
Li1 Li 0.056 0.696 0.864
Li2 Li 0.304 0.944 0.636
Li3 Li 0.696 0.056 0.364
Li4 Li 0.944 0.304 0.136
Mg1 Mg 0.225 0.382 0.596
Mg2 Mg 0.321 0.679 0.250
Mg3 Mg 0.382 0.225 0.096
Mg4 Mg 0.618 0.775 0.904
Mg5 Mg 0.679 0.321 0.750
Mg6 Mg 0.775 0.618 0.404
Ga1 Ga 0.042 0.958 0.250
Ga2 Ga 0.958 0.042 0.750
```

Largest 8 diffraction maxima, most intense first, 2θ from 5° to 70°:
- 2θ = 14.34°, I = 100
- 2θ = 36.19°, I = 97
- 2θ = 17.03°, I = 73
- 2θ = 37.74°, I = 63
- 2θ = 22.79°, I = 54
- 2θ = 33.29°, I = 52
- 2θ = 28.21°, I = 42
- 2θ = 33.47°, I = 36